Starting from a DFT-relaxed cell (GGA-PBE, Alexandria), the XRD peak list of BaYTe4 was calculated for Cu Kα X-rays.
Lines closer than 0.1° are merged.

Principal peaks in the range 10° ≤ 2θ ≤ 90°, sorted by position:
d/Å  2θ (°)  I/Imax  index
3.209  27.80  64  1 1 2
2.936  30.44  100  2 1 1
2.693  33.26  39  2 0 2
2.514  35.71  13  2 1 2
2.215  40.73  40  3 1 0
2.091  43.26  24  2 1 3
1.748  52.33  14  2 1 4
1.617  56.94  20  4 0 2
1.537  60.20  20  3 3 2
1.527  60.66  15  3 1 4

Structure:
Lattice parameters (Å, degrees): 7.0052 7.0052 8.4266 90.00 90.00 90.00
Space group P4/nbm (No. 125, origin choice 2)
Symmetry-distinct sites (fractional):
Ba  0.2500  0.2500  0.0000 x2
Y  0.2500  0.2500  0.5000 x2
Te  0.0984  0.5984  0.2859 x8